1.
Simulated XRD peak list
Compound: Ba3Al3Zn8
Radiation: copper Kα
Structure: a crystal structure in Alexandria, relaxed with PBE
Kinematic intensities with the Lorentz-polarization factor, no thermal factor.

Cell and atoms:
Unit cell a=17.331 b=4.371 c=11.032 alpha=90.00 beta=127.40 gamma=90.00
Space group C2/m (No. 12)
Asymmetric unit:
Ba (0.000, 0.000, 0.000)
Ba (0.211, 0.500, 0.681)
Al (0.000, 0.000, 0.500)
Al (0.188, 0.500, 0.995)
Zn (0.018, 0.500, 0.698)
Zn (0.092, 0.000, 0.377)
Zn (0.120, 0.000, 0.821)
Zn (0.138, 0.500, 0.311)

Top 8 peaks for 10° ≤ 2θ ≤ 90°, in order of rising 2θ:
d = 4.063 Å, rel. 45, hkl 1 1 -1
d = 3.519 Å, rel. 35, hkl 4 0 -3
d = 2.922 Å, rel. 55, hkl 0 0 3
d = 2.873 Å, rel. 46, hkl 6 0 -2
d = 2.814 Å, rel. 100, hkl 3 1 -3
d = 2.775 Å, rel. 83, hkl 1 1 2
d = 2.609 Å, rel. 77, hkl 5 1 -1
d = 2.185 Å, rel. 69, hkl 0 2 0


2.
Simulated XRD peak list
Compound: KPm3Nd2Te6
Radiation: copper Kα
Structure: a crystal structure in Alexandria, relaxed with PBE
Kinematic intensities with the Lorentz-polarization factor, no thermal factor.

Cell and atoms:
Unit cell a=19.805 b=4.488 c=9.182 alpha=90.00 beta=103.71 gamma=90.00
Space group C2/m (No. 12)
Asymmetric unit:
K (0.000, 0.000, 0.000)
Pm (0.000, 0.000, 0.500)
Pm (0.163, 0.500, 0.823)
Nd (0.170, 0.500, 0.344)
Te (0.002, 0.500, 0.262)
Te (0.165, 0.000, 0.585)
Te (0.173, 0.000, 0.084)

Top 8 peaks for 10° ≤ 2θ ≤ 90°, in order of rising 2θ:
d = 3.208 Å, rel. 100, hkl 1 1 -2
d = 2.296 Å, rel. 13, hkl 2 0 -4
d = 2.273 Å, rel. 26, hkl 7 1 -2
d = 2.264 Å, rel. 25, hkl 5 1 2
d = 2.244 Å, rel. 12, hkl 0 2 0
d = 1.839 Å, rel. 13, hkl 6 2 0
d = 1.604 Å, rel. 13, hkl 2 2 -4
d = 1.433 Å, rel. 11, hkl 4 2 4


3.
Simulated XRD peak list
Compound: MgU2As2O16
Radiation: copper Kα
Structure: a crystal structure in Alexandria, relaxed with PBE
Kinematic intensities with the Lorentz-polarization factor, no thermal factor.

Cell and atoms:
Unit cell a=14.433 b=7.238 c=7.023 alpha=90.00 beta=103.88 gamma=90.00
Space group C2/m (No. 12)
Asymmetric unit:
Mg (0.000, 0.000, 0.000)
U (0.241, 0.000, 0.351)
As (0.207, 0.500, 0.161)
O (0.061, 0.248, 0.935)
O (0.083, 0.500, 0.107)
O (0.110, 0.000, 0.270)
O (0.131, 0.500, 0.575)
O (0.240, 0.000, 0.029)
O (0.248, 0.322, 0.325)

Top 8 peaks for 10° ≤ 2θ ≤ 90°, in order of rising 2θ:
d = 7.006 Å, rel. 100, hkl 2 0 0
d = 5.604 Å, rel. 30, hkl 2 0 -1
d = 3.619 Å, rel. 28, hkl 0 2 0
d = 3.503 Å, rel. 18, hkl 4 0 0
d = 3.215 Å, rel. 31, hkl 2 2 0
d = 3.159 Å, rel. 30, hkl 1 1 -2
d = 2.881 Å, rel. 37, hkl 1 1 2
d = 1.913 Å, rel. 15, hkl 1 3 2


4.
Simulated XRD peak list
Compound: Ce2PuZn2Au2
Radiation: copper Kα
Structure: a crystal structure in Alexandria, relaxed with PBE
Kinematic intensities with the Lorentz-polarization factor, no thermal factor.

Cell and atoms:
Unit cell a=4.8197 b=4.8197 c=23.1760 alpha=90.00 beta=90.00 gamma=120.00
Space group R-3m (No. 166, hexagonal axes)
Asymmetric unit:
Ce (0.0000, 0.0000, 0.1273)
Pu (0.0000, 0.0000, 0.0000)
Zn (0.0000, 0.0000, 0.3968)
Au (0.0000, 0.0000, 0.2660)

Top 8 peaks for 10° ≤ 2θ ≤ 90°, in order of rising 2θ:
d = 4.108 Å, rel. 27, hkl 1 0 1
d = 2.594 Å, rel. 59, hkl 1 0 7
d = 2.410 Å, rel. 100, hkl 1 1 0
d = 2.380 Å, rel. 63, hkl 0 1 8
d = 1.766 Å, rel. 19, hkl 0 2 7
d = 1.693 Å, rel. 22, hkl 2 0 8
d = 1.385 Å, rel. 23, hkl 1 2 8
d = 1.301 Å, rel. 26, hkl 1 1 15


5.
Simulated XRD peak list
Compound: Cs12K6Na
Radiation: copper Kα
Structure: a crystal structure in Alexandria, relaxed with PBE
Kinematic intensities with the Lorentz-polarization factor, no thermal factor.

Cell and atoms:
Unit cell a=22.5127 b=22.5127 c=12.4674 alpha=90.00 beta=90.00 gamma=120.00
Space group R-3 (No. 148, hexagonal axes)
Asymmetric unit:
Cs (0.0334, 0.7626, 0.3739)
Cs (0.0829, 0.5160, 0.6551)
K (0.0115, 0.8897, 0.6779)
Na (0.0000, 0.0000, 0.0000)

Top 8 peaks for 10° ≤ 2θ ≤ 90°, in order of rising 2θ:
d = 4.759 Å, rel. 22, hkl 1 2 2
d = 4.210 Å, rel. 100, hkl 5 -2 1
d = 4.156 Å, rel. 27, hkl 0 0 3
d = 3.634 Å, rel. 63, hkl 2 3 2
d = 2.582 Å, rel. 26, hkl 7 1 0
d = 2.558 Å, rel. 24, hkl 5 -2 4
d = 2.201 Å, rel. 14, hkl 4 6 1
d = 2.193 Å, rel. 25, hkl 7 1 3


6.
Simulated XRD peak list
Compound: NdDy2YHo
Radiation: copper Kα
Structure: a crystal structure in Alexandria, relaxed with PBE
Kinematic intensities with the Lorentz-polarization factor, no thermal factor.

Cell and atoms:
Unit cell a=8.411 b=11.503 c=7.220 alpha=90.00 beta=90.00 gamma=90.00
Space group Cmcm (No. 63)
Asymmetric unit:
Nd (0.000, 0.226, 0.250)
Dy (0.189, 0.000, 0.000)
Y (0.000, 0.498, 0.250)
Ho (0.000, 0.223, 0.750)

Top 8 peaks for 10° ≤ 2θ ≤ 90°, in order of rising 2θ:
d = 3.395 Å, rel. 82, hkl 2 2 0
d = 3.058 Å, rel. 92, hkl 0 2 2
d = 2.876 Å, rel. 62, hkl 0 4 0
d = 2.739 Å, rel. 100, hkl 2 0 2
d = 2.509 Å, rel. 49, hkl 1 3 2
d = 2.263 Å, rel. 41, hkl 3 3 0
d = 1.983 Å, rel. 64, hkl 2 4 2
d = 1.595 Å, rel. 37, hkl 2 2 4